# 1
Computed powder diffraction line list of TiNb2PbO8 for Cu Kα, 1.54184 Å, from a PBE-relaxed structure.
Kinematic intensities with the Lorentz-polarization factor, no thermal factor.

Most intense lines, 2θ = 10–90°, low angle first:
2theta, intensity
12.79, 422
21.97, 928
23.13, 598
23.39, 553
28.26, 703
29.77, 1000
33.12, 689
36.21, 270
37.00, 438
40.61, 365

Structure:
```
TiNb2PbO8
1.0
4.113 -3.158 0.000
4.113 3.158 0.000
-1.264 0.000 6.922
Ti Nb Pb O
1 2 1 8
direct
0.000 0.000 0.000
0.421 0.421 0.258
0.579 0.579 0.742
0.000 0.000 0.500
0.221 0.776 0.798
0.224 0.779 0.202
0.239 0.239 0.060
0.335 0.335 0.485
0.665 0.665 0.515
0.761 0.761 0.940
0.776 0.221 0.798
0.779 0.224 0.202
```

# 2
Computed powder diffraction line list of YTh2UP4 for Cu Kα, 1.54184 Å, from a PBE-relaxed structure.
Kinematic intensities with the Lorentz-polarization factor, no thermal factor.

Most intense lines, 2θ = 10–90°, low angle first:
2theta, intensity
26.83, 249
26.93, 740
31.17, 1000
44.59, 373
44.72, 370
52.94, 374
55.52, 196
73.74, 172
73.94, 171
82.35, 131

Structure:
```
YTh2UP4
1.0
7.018 0.000 0.000
0.000 4.053 0.000
-2.333 0.000 6.647
Y Th U P
1 2 1 4
direct
0.000 0.000 0.000
0.500 0.000 0.500
0.500 0.500 0.000
0.000 0.500 0.500
0.236 0.000 0.743
0.239 0.500 0.250
0.761 0.500 0.750
0.764 0.000 0.257
```